Diffraction record for Sc5Sn4. The powder XRD pattern is computed, not measured: it uses the GGA-PBE geometry in Alexandria and Cu Kα X-rays.

Peak list (10 most intense, 2θ = 5–70°, low angle first)
2theta	I_rel	h k l
13.3	18	1 1 0
18.0	29	1 0 1
18.9	16	2 0 0
26.2	47	2 1 1
30.1	100	1 3 0
30.8	50	0 0 2
37.9	21	2 3 1
43.1	33	4 2 0
43.6	72	1 3 2
53.9	34	4 2 2

Crystal structure
```
data_Sc5Sn4
_chemical_formula_sum 'Sc10 Sn8'
_cell_length_a 9.389
_cell_length_b 9.389
_cell_length_c 5.807
_cell_angle_alpha 90.00
_cell_angle_beta 90.00
_cell_angle_gamma 90.00
_space_group_name_H-M_alt 'I 4/m'
_space_group_IT_number 87
_space_group_name_Hall '-I 4'
loop_
_atom_site_label
_atom_site_fract_x
_atom_site_fract_y
_atom_site_fract_z
Sc1 0.000 0.000 0.000
Sc2 0.099 0.330 0.500
Sn1 0.115 0.288 0.000
```